This entry pairs a crystal structure of VF5 with its theoretical powder diffraction line list. Radiation: a wavelength of 1.5418 Å. Structure: a cell relaxed with PBE+U.
Peak positions follow from Bragg's law for the DFT cell and can differ from measured ones.

Atomic structure:
a b c (Å): 5.6072 8.2657 8.2162
angles (deg): 90.00 90.00 90.00
Sites, in units of the cell vectors:
V (0.2328, 0.2500, 0.0846)
V (0.2672, 0.7500, 0.5846)
V (0.7328, 0.2500, 0.4154)
V (0.7672, 0.7500, 0.9154)
F (0.0030, 0.2500, 0.5196)
F (0.0661, 0.2500, 0.9071)
F (0.0704, 0.7500, 0.7915)
F (0.2256, 0.0391, 0.1247)
F (0.2256, 0.4609, 0.1247)
F (0.2744, 0.5391, 0.6247)
F (0.2744, 0.9609, 0.6247)
F (0.4296, 0.2500, 0.2915)
F (0.4339, 0.7500, 0.4071)
F (0.4970, 0.7500, 0.0196)
F (0.5030, 0.2500, 0.9804)
F (0.5661, 0.2500, 0.5929)
F (0.5704, 0.7500, 0.7085)
F (0.7256, 0.0391, 0.3753)
F (0.7256, 0.4609, 0.3753)
F (0.7744, 0.5391, 0.8753)
F (0.7744, 0.9609, 0.8753)
F (0.9296, 0.2500, 0.2085)
F (0.9339, 0.7500, 0.0929)
F (0.9970, 0.7500, 0.4804)

Main lines, sorted by position (2θ from 5° to 70°):
- 15.20 deg, I 61
- 21.50 deg, I 51
- 21.63 deg, I 11
- 22.00 deg, I 100
- 26.90 deg, I 52
- 30.69 deg, I 8
- 43.81 deg, I 20
- 47.71 deg, I 26
- 53.89 deg, I 12
- 59.36 deg, I 9

=====

This entry pairs a crystal structure of Li3Si2Ni2O8 with its theoretical powder diffraction line list. Radiation: a wavelength of 1.5418 Å. Structure: a cell relaxed with PBE+U.
Peak positions follow from Bragg's law for the DFT cell and can differ from measured ones.

Atomic structure:
a b c (Å): 6.4041 5.0211 10.7560
angles (deg): 90.00 91.39 90.00
Sites, in units of the cell vectors:
Li (0.0000, 0.0468, 0.0000)
Li (0.0000, 0.9532, 0.5000)
Li (0.2446, 0.4443, 0.4179)
Li (0.2446, 0.5557, 0.9179)
Li (0.7471, 0.0494, 0.2328)
Li (0.7471, 0.9506, 0.7328)
Si (0.4976, 0.0576, 0.9879)
Si (0.4976, 0.9424, 0.4879)
Si (0.9989, 0.4367, 0.6685)
Si (0.9989, 0.5633, 0.1685)
Ni (0.2665, 0.0536, 0.2371)
Ni (0.2665, 0.9464, 0.7371)
Ni (0.7476, 0.4493, 0.4118)
Ni (0.7476, 0.5507, 0.9118)
O (0.0015, 0.1096, 0.6692)
O (0.0015, 0.8904, 0.1693)
O (0.2053, 0.4400, 0.2358)
O (0.2053, 0.5600, 0.7358)
O (0.2750, 0.0428, 0.4233)
O (0.2750, 0.9572, 0.9233)
O (0.5040, 0.0104, 0.6343)
O (0.5040, 0.9896, 0.1343)
O (0.5119, 0.3841, 0.9616)
O (0.5119, 0.6159, 0.4616)
O (0.7086, 0.0689, 0.4207)
O (0.7086, 0.9311, 0.9207)
O (0.7943, 0.4502, 0.2441)
O (0.7943, 0.5498, 0.7441)
O (0.9768, 0.4596, 0.0193)
O (0.9768, 0.5404, 0.5193)

Main lines, sorted by position (2θ from 5° to 70°):
- 21.32 deg, I 51
- 21.84 deg, I 41
- 22.50 deg, I 100
- 27.84 deg, I 14
- 32.20 deg, I 17
- 32.91 deg, I 24
- 33.33 deg, I 32
- 34.06 deg, I 14
- 35.77 deg, I 43
- 57.59 deg, I 15

=====

This entry pairs a crystal structure of Ba3Er2MoO9 with its theoretical powder diffraction line list. Radiation: a wavelength of 1.5418 Å. Structure: a cell relaxed with PBE+U.
Peak positions follow from Bragg's law for the DFT cell and can differ from measured ones.

Atomic structure:
a b c (Å): 6.0649 6.0649 14.8426
angles (deg): 90.24 90.24 59.83
Sites, in units of the cell vectors:
Ba (0.0024, 0.9976, 0.7500)
Ba (0.3319, 0.3346, 0.0875)
Ba (0.3346, 0.3319, 0.5875)
Ba (0.6654, 0.6681, 0.4125)
Ba (0.6681, 0.6654, 0.9125)
Ba (0.9976, 0.0024, 0.2500)
Er (0.3330, 0.3335, 0.8328)
Er (0.3335, 0.3330, 0.3328)
Er (0.6665, 0.6670, 0.6672)
Er (0.6670, 0.6665, 0.1672)
Mo (0.0000, 0.0000, 0.0000)
Mo (0.0000, 0.0000, 0.5000)
O (0.0208, 0.4586, 0.2396)
O (0.1202, 0.7098, 0.4167)
O (0.1530, 0.1539, 0.4249)
O (0.1539, 0.1530, 0.9249)
O (0.1861, 0.6772, 0.9335)
O (0.2902, 0.8798, 0.0833)
O (0.3228, 0.8139, 0.5665)
O (0.4586, 0.0208, 0.7396)
O (0.4989, 0.5011, 0.2500)
O (0.5011, 0.4989, 0.7500)
O (0.5414, 0.9792, 0.2604)
O (0.6772, 0.1861, 0.4335)
O (0.7098, 0.1202, 0.9167)
O (0.8139, 0.3228, 0.0665)
O (0.8461, 0.8470, 0.0751)
O (0.8470, 0.8461, 0.5751)
O (0.8798, 0.2902, 0.5833)
O (0.9792, 0.5414, 0.7604)

Main lines, sorted by position (2θ from 5° to 70°):
- 29.46 deg, I 100
- 29.53 deg, I 51
- 42.03 deg, I 15
- 42.26 deg, I 28
- 52.20 deg, I 21
- 52.35 deg, I 41
- 61.12 deg, I 18
- 61.30 deg, I 9
- 69.13 deg, I 9
- 69.49 deg, I 10

=====

This entry pairs a crystal structure of LaCoAsO with its theoretical powder diffraction line list. Radiation: a wavelength of 1.5418 Å. Structure: a cell relaxed with PBE+U.
Peak positions follow from Bragg's law for the DFT cell and can differ from measured ones.

Atomic structure:
a b c (Å): 4.1052 4.1052 8.2404
angles (deg): 90.00 90.00 90.00
Sites, in units of the cell vectors:
La (0.2500, 0.2500, 0.1474)
La (0.7500, 0.7500, 0.8526)
Co (0.2500, 0.7500, 0.5000)
Co (0.7500, 0.2500, 0.5000)
As (0.2500, 0.2500, 0.6308)
As (0.7500, 0.7500, 0.3692)
O (0.2500, 0.7500, 0.0000)
O (0.7500, 0.2500, 0.0000)

Main lines, sorted by position (2θ from 5° to 70°):
- 24.22 deg, I 10
- 30.75 deg, I 100
- 32.60 deg, I 5
- 32.71 deg, I 9
- 37.92 deg, I 16
- 44.12 deg, I 30
- 54.63 deg, I 26
- 54.74 deg, I 32
- 55.92 deg, I 5
- 64.17 deg, I 9

=====

This entry pairs a crystal structure of LiCr2O4 with its theoretical powder diffraction line list. Radiation: a wavelength of 1.5418 Å. Structure: a cell relaxed with PBE+U.
Peak positions follow from Bragg's law for the DFT cell and can differ from measured ones.

Atomic structure:
a b c (Å): 5.7840 5.7840 9.3766
angles (deg): 90.00 90.00 120.00
Sites, in units of the cell vectors:
Li (0.0000, 0.0000, 0.0000)
Li (0.0000, 0.0000, 0.5000)
Li (0.3333, 0.6667, 0.3977)
Li (0.6667, 0.3333, 0.8977)
Cr (0.1707, 0.3414, 0.7148)
Cr (0.1707, 0.8293, 0.7148)
Cr (0.3333, 0.6667, 0.9898)
Cr (0.3414, 0.1707, 0.2148)
Cr (0.6586, 0.8293, 0.7148)
Cr (0.6667, 0.3333, 0.4898)
Cr (0.8293, 0.1707, 0.2148)
Cr (0.8293, 0.6586, 0.2148)
O (0.0000, 0.0000, 0.3113)
O (0.0000, 0.0000, 0.8113)
O (0.0431, 0.5215, 0.8447)
O (0.1686, 0.3372, 0.1062)
O (0.1686, 0.8314, 0.1062)
O (0.3333, 0.6667, 0.6039)
O (0.3372, 0.1686, 0.6062)
O (0.4785, 0.5215, 0.8447)
O (0.4785, 0.9569, 0.8447)
O (0.5215, 0.0431, 0.3447)
O (0.5215, 0.4785, 0.3447)
O (0.6628, 0.8314, 0.1062)
O (0.6667, 0.3333, 0.1039)
O (0.8314, 0.1686, 0.6062)
O (0.8314, 0.6628, 0.6062)
O (0.9569, 0.4785, 0.3447)

Main lines, sorted by position (2θ from 5° to 70°):
- 18.93 deg, I 61
- 20.10 deg, I 100
- 26.03 deg, I 31
- 33.80 deg, I 32
- 36.50 deg, I 52
- 37.16 deg, I 47
- 40.85 deg, I 41
- 46.46 deg, I 58
- 61.80 deg, I 43
- 64.44 deg, I 38

=====

This entry pairs a crystal structure of SrCo2As2O8 with its theoretical powder diffraction line list. Radiation: a wavelength of 1.5418 Å. Structure: a cell relaxed with PBE+U.
Peak positions follow from Bragg's law for the DFT cell and can differ from measured ones.

Atomic structure:
a b c (Å): 5.5690 7.2807 9.7086
angles (deg): 109.43 99.16 96.20
Sites, in units of the cell vectors:
Sr (0.1710, 0.2798, 0.0246)
Sr (0.8290, 0.7202, 0.9754)
Co (0.0285, 0.1452, 0.3789)
Co (0.3647, 0.6244, 0.4367)
Co (0.6353, 0.3756, 0.5633)
Co (0.9715, 0.8548, 0.6211)
As (0.2711, 0.6296, 0.7840)
As (0.4289, 0.9167, 0.2495)
As (0.5711, 0.0833, 0.7505)
As (0.7289, 0.3704, 0.2160)
O (0.0381, 0.3354, 0.2795)
O (0.1129, 0.7628, 0.4723)
O (0.1823, 0.4778, 0.8756)
O (0.2298, 0.9332, 0.1026)
O (0.2721, 0.0373, 0.7748)
O (0.3535, 0.5009, 0.5839)
O (0.3627, 0.0940, 0.4053)
O (0.3781, 0.6816, 0.2585)
O (0.6219, 0.3184, 0.7415)
O (0.6373, 0.9060, 0.5947)
O (0.6465, 0.4991, 0.4161)
O (0.7279, 0.9627, 0.2252)
O (0.7702, 0.0668, 0.8974)
O (0.8177, 0.5222, 0.1244)
O (0.8871, 0.2372, 0.5277)
O (0.9619, 0.6646, 0.7205)

Main lines, sorted by position (2θ from 5° to 70°):
- 24.60 deg, I 22
- 26.78 deg, I 82
- 27.97 deg, I 100
- 28.38 deg, I 21
- 28.62 deg, I 66
- 31.06 deg, I 39
- 33.46 deg, I 45
- 33.59 deg, I 20
- 47.27 deg, I 24
- 53.85 deg, I 28

=====

This entry pairs a crystal structure of Li4Mn3Fe2Co3O16 with its theoretical powder diffraction line list. Radiation: a wavelength of 1.5418 Å. Structure: a cell relaxed with PBE+U.
Peak positions follow from Bragg's law for the DFT cell and can differ from measured ones.

Atomic structure:
a b c (Å): 5.7473 5.7608 9.4475
angles (deg): 90.01 90.03 119.78
Sites, in units of the cell vectors:
Li (0.0000, 0.0000, 0.0000)
Li (0.0010, 0.0058, 0.5016)
Li (0.3379, 0.6676, 0.1055)
Li (0.6691, 0.3292, 0.6098)
Mn (0.1737, 0.8296, 0.7829)
Mn (0.3436, 0.1689, 0.2830)
Mn (0.8365, 0.6617, 0.2833)
Fe (0.3431, 0.6648, 0.5072)
Fe (0.6774, 0.3346, 0.0044)
Co (0.1729, 0.3364, 0.7850)
Co (0.6653, 0.8291, 0.7839)
Co (0.8353, 0.1700, 0.2837)
O (0.0034, 0.9997, 0.6890)
O (0.0041, 0.0001, 0.1871)
O (0.0402, 0.5124, 0.6652)
O (0.1666, 0.8385, 0.3964)
O (0.1698, 0.3245, 0.3963)
O (0.3255, 0.1631, 0.8934)
O (0.3381, 0.6656, 0.8894)
O (0.4816, 0.5130, 0.6696)
O (0.4858, 0.9618, 0.6626)
O (0.5221, 0.0358, 0.1616)
O (0.5219, 0.4825, 0.1633)
O (0.6716, 0.3342, 0.3909)
O (0.6807, 0.8357, 0.3961)
O (0.8449, 0.6770, 0.8957)
O (0.8497, 0.1647, 0.8907)
O (0.9697, 0.4821, 0.1629)

Main lines, sorted by position (2θ from 5° to 70°):
- 18.79 deg, I 75
- 20.13 deg, I 100
- 25.98 deg, I 33
- 33.66 deg, I 41
- 36.51 deg, I 38
- 37.24 deg, I 38
- 46.39 deg, I 30
- 46.49 deg, I 31
- 61.53 deg, I 24
- 61.62 deg, I 24

=====

This entry pairs a crystal structure of Li4Co3Cu2Sb3O16 with its theoretical powder diffraction line list. Radiation: a wavelength of 1.5418 Å. Structure: a cell relaxed with PBE+U.
Peak positions follow from Bragg's law for the DFT cell and can differ from measured ones.

Atomic structure:
a b c (Å): 5.9589 6.0025 9.8078
angles (deg): 91.37 90.30 119.67
Sites, in units of the cell vectors:
Li (0.0000, 0.0000, 0.0000)
Li (0.0165, 0.0509, 0.5184)
Li (0.3080, 0.6252, 0.6233)
Li (0.6595, 0.3330, 0.1069)
Co (0.1598, 0.3374, 0.2891)
Co (0.3130, 0.1216, 0.7912)
Co (0.8058, 0.1222, 0.7914)
Cu (0.3136, 0.6297, 0.9962)
Cu (0.6338, 0.2796, 0.5213)
Sb (0.1613, 0.8312, 0.2905)
Sb (0.6543, 0.8312, 0.2888)
Sb (0.8058, 0.6161, 0.7889)
O (0.0231, 0.5185, 0.1726)
O (0.1364, 0.2795, 0.8865)
O (0.1421, 0.8129, 0.9010)
O (0.3144, 0.1630, 0.4012)
O (0.3362, 0.6833, 0.4074)
O (0.4793, 0.5200, 0.1683)
O (0.4800, 0.4198, 0.6716)
O (0.4812, 0.9821, 0.1762)
O (0.4910, 0.9827, 0.6939)
O (0.6411, 0.2856, 0.8953)
O (0.6700, 0.8141, 0.9007)
O (0.8305, 0.1607, 0.4006)
O (0.8424, 0.7002, 0.4053)
O (0.9341, 0.4219, 0.6715)
O (0.9783, 0.9612, 0.6953)
O (0.9874, 0.9916, 0.1830)

Main lines, sorted by position (2θ from 5° to 70°):
- 18.10 deg, I 100
- 19.04 deg, I 32
- 19.28 deg, I 35
- 19.52 deg, I 29
- 34.69 deg, I 20
- 35.35 deg, I 24
- 35.89 deg, I 31
- 36.04 deg, I 26
- 45.13 deg, I 20
- 61.81 deg, I 21

=====

This entry pairs a crystal structure of Ba2MgMnO4 with its theoretical powder diffraction line list. Radiation: a wavelength of 1.5418 Å. Structure: a cell relaxed with PBE+U.
Peak positions follow from Bragg's law for the DFT cell and can differ from measured ones.

Atomic structure:
a b c (Å): 10.5936 10.5936 10.5936
angles (deg): 160.28 160.28 28.04
Sites, in units of the cell vectors:
Ba (0.1307, 0.1307, 0.0000)
Ba (0.8693, 0.8693, 0.0000)
Mg (0.7500, 0.2500, 0.5000)
Mn (0.5000, 0.5000, 0.0000)
O (0.3017, 0.3017, 0.0000)
O (0.5481, 0.0481, 0.5000)
O (0.6983, 0.6983, 0.0000)
O (0.9519, 0.4519, 0.5000)

Main lines, sorted by position (2θ from 5° to 70°):
- 17.26 deg, I 34
- 24.92 deg, I 33
- 27.82 deg, I 100
- 32.92 deg, I 73
- 34.95 deg, I 63
- 39.24 deg, I 40
- 39.47 deg, I 27
- 50.27 deg, I 56
- 55.29 deg, I 26
- 58.44 deg, I 25

=====

This entry pairs a crystal structure of K2MnO4 with its theoretical powder diffraction line list. Radiation: a wavelength of 1.5418 Å. Structure: a cell relaxed with PBE+U.
Peak positions follow from Bragg's law for the DFT cell and can differ from measured ones.

Atomic structure:
a b c (Å): 6.1203 8.1433 10.3624
angles (deg): 90.02 93.41 90.05
Sites, in units of the cell vectors:
K (0.2130, 0.2193, 0.4111)
K (0.2377, 0.5085, 0.7173)
K (0.2622, 0.0086, 0.7827)
K (0.2871, 0.7194, 0.0889)
K (0.7129, 0.2806, 0.9111)
K (0.7378, 0.9914, 0.2173)
K (0.7623, 0.4915, 0.2827)
K (0.7870, 0.7807, 0.5889)
Mn (0.2184, 0.2510, 0.0717)
Mn (0.2817, 0.7511, 0.4283)
Mn (0.7183, 0.2489, 0.5717)
Mn (0.7816, 0.7490, 0.9283)
O (0.0148, 0.7457, 0.8517)
O (0.1101, 0.8919, 0.3663)
O (0.1666, 0.2918, 0.9148)
O (0.1730, 0.5649, 0.4146)
O (0.3271, 0.0650, 0.0854)
O (0.3334, 0.7920, 0.5852)
O (0.3900, 0.3920, 0.1338)
O (0.4854, 0.2458, 0.6483)
O (0.5146, 0.7542, 0.3517)
O (0.6100, 0.6080, 0.8662)
O (0.6666, 0.2080, 0.4148)
O (0.6729, 0.9350, 0.9146)
O (0.8270, 0.4351, 0.5854)
O (0.8334, 0.7082, 0.0852)
O (0.8899, 0.1081, 0.6337)
O (0.9852, 0.2543, 0.1483)

Main lines, sorted by position (2θ from 5° to 70°):
- 20.46 deg, I 59
- 21.83 deg, I 49
- 27.43 deg, I 100
- 27.90 deg, I 87
- 28.97 deg, I 84
- 29.24 deg, I 75
- 30.52 deg, I 73
- 40.05 deg, I 31
- 41.62 deg, I 24
- 44.50 deg, I 24